Ac3PrCd4: theoretical X-ray diffraction stick pattern (a wavelength of 1.5418 Å), based on the PBE geometry in Alexandria.

Crystal structure
```
data_Ac3PrCd4
_chemical_formula_sum 'Ac3 Pr1 Cd4'
_space_group_name_H-M_alt 'P 4/m m m'
_space_group_IT_number 123
_space_group_name_Hall '-P 4 2'
_cell_length_a 4.0319
_cell_length_b 4.0319
_cell_length_c 16.1055
_cell_angle_alpha 90.00
_cell_angle_beta 90.00
_cell_angle_gamma 90.00
loop_
_atom_site_label
_atom_site_fract_x
_atom_site_fract_y
_atom_site_fract_z
Ac1 0.0000 0.0000 0.0000
Ac2 0.0000 0.0000 0.2573
Pr1 0.0000 0.0000 0.5000
Cd1 0.5000 0.5000 0.1280
Cd2 0.5000 0.5000 0.3888
```

Largest 10 diffraction maxima, sorted by position, 2θ = 10–90°:
2θ/deg, I/Imax
22.1, 9
31.4, 100
38.7, 3
45.0, 18
50.7, 5
55.9, 37
65.5, 11
74.4, 11
74.5, 4
83.0, 4